1.
# Pu2Pd4Pb3
Calculated XRD peak list, copper Kα. Input: a cell relaxed with GGA-PBE.
Peak positions follow from Bragg's law for the DFT cell and can differ from measured ones.

Structure:
Lattice parameters (Å, degrees): 6.294 17.301 7.460 90.00 90.00 90.00
Space group Cmce (No. 64)
Symmetry-distinct sites (fractional):
1 Pu 0.000 0.093 0.096 x8
2 Pd 0.000 0.160 0.479 x8
3 Pd 0.250 0.075 0.750 x8
4 Pb 0.000 0.000 0.500 x4
5 Pb 0.250 0.241 0.750 x8

Largest 10 diffraction maxima, by intensity, 2θ = 10–90°:
31.87 deg, I = 100.0, (1 5 1)
37.38 deg, I = 88.8, (2 0 2)
32.57 deg, I = 38.1, (2 2 1)
66.71 deg, I = 34.8, (2 6 4)
39.50 deg, I = 33.4, (0 6 2)
30.22 deg, I = 31.5, (2 2 0)
41.06 deg, I = 29.3, (1 7 1)
26.01 deg, I = 28.9, (0 2 2)
37.64 deg, I = 27.5, (0 2 3)
52.47 deg, I = 25.4, (3 5 1)

2.
# Tb8Nd3Y3
Calculated XRD peak list, copper Kα. Input: a cell relaxed with GGA-PBE.
Peak positions follow from Bragg's law for the DFT cell and can differ from measured ones.

Structure:
Lattice parameters (Å, degrees): 5.686 10.908 15.052 90.00 90.00 90.00
Space group Immm (No. 71)
Symmetry-distinct sites (fractional):
1 Tb 0.000 0.158 0.103 x8
2 Tb 0.000 0.340 0.278 x8
3 Nd 0.000 0.000 0.317 x4
4 Nd 0.000 0.500 0.000 x2
5 Y 0.000 0.202 0.500 x4
6 Y 0.000 0.500 0.500 x2

Largest 10 diffraction maxima, by intensity, 2θ = 10–90°:
31.51 deg, I = 100.0, (2 0 0)
33.69 deg, I = 34.7, (1 0 5)
29.62 deg, I = 24.8, (1 1 4)
30.36 deg, I = 16.5, (0 3 3)
25.20 deg, I = 12.9, (0 3 1)
56.07 deg, I = 12.6, (3 3 2)
57.46 deg, I = 12.0, (3 0 5)
44.29 deg, I = 11.7, (2 3 3)
61.81 deg, I = 9.7, (1 6 5)
60.44 deg, I = 9.4, (2 6 0)

3.
# KIn2AgCl8
Calculated XRD peak list, copper Kα. Input: a cell relaxed with GGA-PBE.
Peak positions follow from Bragg's law for the DFT cell and can differ from measured ones.

Structure:
Lattice parameters (Å, degrees): 10.103 10.103 8.087 90.00 90.00 90.00
Space group I-4m2 (No. 119)
Symmetry-distinct sites (fractional):
1 K 0.000 0.000 0.000 x2
2 In 0.000 0.000 0.500 x2
3 In 0.000 0.500 0.250 x2
4 Ag 0.000 0.500 0.750 x2
5 Cl 0.000 0.190 0.677 x8
6 Cl 0.000 0.326 0.048 x8

Largest 10 diffraction maxima, by intensity, 2θ = 10–90°:
17.56 deg, I = 100.0, (2 0 0)
35.82 deg, I = 66.2, (3 1 2)
25.31 deg, I = 37.5, (1 1 2)
44.13 deg, I = 30.5, (3 3 2)
22.54 deg, I = 28.0, (2 1 1)
35.54 deg, I = 22.5, (4 0 0)
57.90 deg, I = 13.0, (5 3 2)
14.03 deg, I = 11.0, (1 0 1)
48.50 deg, I = 10.7, (2 0 4)
28.27 deg, I = 10.0, (2 0 2)